Calculated powder diffractogram
Compound: NpBeGa3
Radiation: CuKα
Structure: a GGA-PBE-relaxed structure
Kinematic intensities with the Lorentz-polarization factor, no thermal factor.

Structural model:
```
data_NpBeGa3
_chemical_formula_sum 'Np2 Be2 Ga6'
_cell_length_a 4.088
_cell_length_b 4.088
_cell_length_c 10.184
_cell_angle_alpha 90.00
_cell_angle_beta 90.00
_cell_angle_gamma 90.00
_symmetry_space_group_name_H-M 'P 1'
_symmetry_Int_Tables_number 1
loop_
_symmetry_equiv_pos_as_xyz
'x,y,z'
loop_
_atom_site_label
_atom_site_type_symbol
_atom_site_fract_x
_atom_site_fract_y
_atom_site_fract_z
_atom_site_occupancy
Np1 Np 0.000 0.000 0.000 1
Np2 Np 0.500 0.500 0.500 1
Be1 Be 0.000 0.000 0.625 1
Be2 Be 0.500 0.500 0.125 1
Ga1 Ga 0.000 0.000 0.405 1
Ga2 Ga 0.000 0.500 0.242 1
Ga3 Ga 0.000 0.500 0.742 1
Ga4 Ga 0.500 0.000 0.242 1
Ga5 Ga 0.500 0.000 0.742 1
Ga6 Ga 0.500 0.500 0.905 1
```

Principal peaks in the range 15 to 90 degrees two-theta, low angle first:
- 2θ = 23.45°, d 3.793, rel. 48
- 2θ = 34.34°, d 2.611, rel. 45
- 2θ = 35.72°, d 2.514, rel. 100
- 2θ = 44.32°, d 2.044, rel. 34
- 2θ = 50.03°, d 1.823, rel. 22
- 2θ = 75.95°, d 1.253, rel. 22